1.
Diffraction record for KMgI2F. The powder diffraction line list is calculated, not measured: it uses a GGA-PBE-relaxed structure and copper Kα.

Atomic structure:
Unit cell a=6.041 b=6.041 c=3.991 alpha=90.00 beta=90.00 gamma=90.00
Space group P4/mmm (No. 123)
One atom of each set of equivalent atoms:
1 K 0.000 0.000 0.000 [1 per cell]
2 Mg 0.500 0.500 0.500 [1 per cell]
3 I 0.000 0.500 0.500 [2 per cell]
4 F 0.500 0.500 0.000 [1 per cell]

Largest 12 diffraction maxima, in order of rising 2θ, 5° ≤ 2θ ≤ 70°:
Position (°2θ)	d/Å	Rel. int.	hkl
20.80	4.271	42	1 1 0
22.28	3.991	31	0 0 1
29.58	3.020	77	2 0 0
30.66	2.916	100	1 1 1
37.34	2.408	33	2 0 1
42.32	2.136	28	2 2 0
45.45	1.995	11	0 0 2
48.33	1.883	16	2 2 1
53.16	1.723	40	3 1 1
55.17	1.665	25	2 0 2
63.84	1.458	16	2 2 2
69.60	1.351	12	4 2 0

***

2.
Diffraction record for NaTiTe3. The powder diffraction line list is calculated, not measured: it uses a GGA-PBE-relaxed structure and copper Kα.

Atomic structure:
Unit cell a=5.376 b=7.553 c=8.070 alpha=90.00 beta=109.35 gamma=90.00
Space group P2_1/m (No. 11)
One atom of each set of equivalent atoms:
1 Na 0.187 0.250 0.375 [2 per cell]
2 Ti 0.489 0.750 0.978 [2 per cell]
3 Te 0.023 0.750 0.046 [2 per cell]
4 Te 0.366 0.002 0.731 [4 per cell]

Largest 12 diffraction maxima, in order of rising 2θ, 5° ≤ 2θ ≤ 70°:
Position (°2θ)	d/Å	Rel. int.	hkl
11.62	7.614	37	0 0 1
24.11	3.691	55	1 0 -2
26.34	3.383	24	0 2 1
29.50	3.028	68	1 2 0
33.39	2.684	100	2 0 -1
33.83	2.650	14	1 0 2
33.96	2.640	19	1 2 -2
35.38	2.537	14	0 0 3
47.92	1.898	43	2 2 1
48.19	1.888	14	0 4 0
51.36	1.779	15	1 2 3
59.86	1.545	15	2 4 -1

***

3.
Diffraction record for YPa2Ge3. The powder diffraction line list is calculated, not measured: it uses a GGA-PBE-relaxed structure and copper Kα.

Atomic structure:
Unit cell a=4.168 b=5.855 c=12.376 alpha=90.00 beta=90.00 gamma=90.00
Space group Immm (No. 71)
One atom of each set of equivalent atoms:
1 Y 0.000 0.000 0.000 [2 per cell]
2 Pa 0.000 0.000 0.334 [4 per cell]
3 Ge 0.000 0.500 0.000 [2 per cell]
4 Ge 0.000 0.500 0.329 [4 per cell]

Largest 12 diffraction maxima, in order of rising 2θ, 5° ≤ 2θ ≤ 70°:
Position (°2θ)	d/Å	Rel. int.	hkl
14.31	6.188	6	0 0 2
16.75	5.292	9	0 1 1
26.25	3.395	16	1 1 0
26.43	3.372	16	0 1 3
30.51	2.930	100	1 0 3
43.42	2.084	13	2 0 0
43.70	2.072	50	1 2 3
43.90	2.063	12	0 0 6
51.85	1.763	8	1 1 6
54.01	1.698	14	2 2 0
54.42	1.686	13	0 2 6
63.45	1.466	8	2 0 6

***

4.
Diffraction record for PaZnNi3. The powder diffraction line list is calculated, not measured: it uses a GGA-PBE-relaxed structure and copper Kα.

Atomic structure:
Unit cell a=6.302 b=6.533 c=7.790 alpha=90.00 beta=90.00 gamma=90.00
Space group Immm (No. 71)
One atom of each set of equivalent atoms:
1 Pa 0.000 0.000 0.220 [4 per cell]
2 Zn 0.183 0.500 0.000 [4 per cell]
3 Ni 0.000 0.500 0.272 [4 per cell]
4 Ni 0.192 0.324 0.500 [8 per cell]

Largest 12 diffraction maxima, in order of rising 2θ, 5° ≤ 2θ ≤ 70°:
Position (°2θ)	d/Å	Rel. int.	hkl
19.57	4.536	31	1 1 0
27.30	3.267	50	0 2 0
30.24	2.955	74	1 1 2
35.88	2.503	47	0 2 2
36.68	2.450	100	2 0 2
39.74	2.268	42	2 2 0
45.35	2.000	25	3 1 0
46.33	1.960	41	2 2 2
46.64	1.948	26	0 0 4
55.03	1.669	21	0 3 3
63.71	1.461	20	4 0 2
69.12	1.359	15	2 4 2